1.
Diffraction record for P3Cl4. The PXRD pattern is calculated, not measured: it uses a structure optimized by DFT (GGA-PBE) and Cu Kα X-rays.

Largest 12 diffraction maxima, in order of rising 2θ, 2θ from 15° to 90°:
d/Å  I_rel  h k l
3.237  61.5  1 0 3
2.948  57.5  1 0 5
2.855  15.7  0 0 10
2.631  30.9  1 0 7
2.434  100.0  1 1 0
2.304  22.9  1 1 4
2.073  41.1  1 0 11
1.852  22.3  1 1 10
1.721  30.6  2 0 0
1.486  11.5  2 1 5
1.440  20.3  1 1 16
1.324  16.7  2 1 11

Atomic structure:
a b c (Å): 3.442 3.442 28.554
angles (deg): 90.00 90.00 90.00
Space group I4/mmm (No. 139)
Inequivalent atoms, fractional coordinates:
P 0.000 0.000 0.000
P 0.000 0.000 0.246
Cl 0.000 0.000 0.174
Cl 0.000 0.000 0.447

2.
Diffraction record for PCl5. The PXRD pattern is calculated, not measured: it uses a structure optimized by DFT (GGA-PBE) and Cu Kα X-rays.

Largest 12 diffraction maxima, in order of rising 2θ, 2θ from 15° to 90°:
d/Å  I_rel  h k l
5.132  100.0  1 1 1
4.881  72.5  2 0 0
4.118  14.0  2 0 1
3.571  16.7  1 0 2
3.087  35.5  1 3 0
2.996  25.1  3 0 1
2.882  69.3  2 1 2
2.553  14.7  3 2 1
2.474  19.4  1 0 3
2.099  15.6  2 4 1
2.015  17.3  4 1 2
1.858  15.3  5 1 1

Atomic structure:
a b c (Å): 9.761 9.761 7.674
angles (deg): 90.00 90.00 90.00
Space group P4/n (No. 85, origin choice 2)
Inequivalent atoms, fractional coordinates:
P 0.250 0.250 0.095
P 0.250 0.750 0.500
Cl 0.042 0.326 0.091
Cl 0.088 0.724 0.353
Cl 0.250 0.250 0.375
Cl 0.250 0.250 0.806

3.
Diffraction record for P3Cl. The PXRD pattern is calculated, not measured: it uses a structure optimized by DFT (GGA-PBE) and Cu Kα X-rays.

Largest 12 diffraction maxima, in order of rising 2θ, 2θ from 15° to 90°:
d/Å  I_rel  h k l
3.340  30.8  0 0 2
3.094  37.6  1 0 1
2.414  42.8  1 0 2
2.316  100.0  1 1 1
1.985  20.8  1 1 2
1.878  16.4  1 0 3
1.746  28.6  2 0 0
1.670  10.6  0 0 4
1.654  21.8  1 1 3
1.414  13.6  2 1 2
1.207  14.6  2 0 4
1.175  11.3  1 1 5

Atomic structure:
a b c (Å): 3.491 3.491 6.681
angles (deg): 90.00 90.00 90.00
Space group P4mm (No. 99)
Inequivalent atoms, fractional coordinates:
P 0.000 0.000 0.000
P 0.000 0.500 0.740
Cl 0.500 0.500 0.211